(1)
Tb2Er2Th: simulated PXRD pattern (CuKα), based on DFT lattice parameters and positions (PBE).

Structure:
```
data_Tb2Er2Th
_chemical_formula_sum 'Tb4 Er4 Th2'
_space_group_name_H-M_alt 'P 1'
_space_group_IT_number 1
_space_group_name_Hall 'P 1'
_cell_length_a 8.248
_cell_length_b 8.248
_cell_length_c 8.248
_cell_angle_alpha 139.60
_cell_angle_beta 88.79
_cell_angle_gamma 105.05
loop_
_atom_site_label
_atom_site_type_symbol
_atom_site_fract_x
_atom_site_fract_y
_atom_site_fract_z
Tb1 Tb 0.221 0.148 0.073
Tb2 Tb 0.425 0.852 0.573
Tb3 Tb 0.575 0.148 0.427
Tb4 Tb 0.779 0.852 0.927
Er1 Er 0.049 0.435 0.613
Er2 Er 0.322 0.435 0.887
Er3 Er 0.678 0.565 0.113
Er4 Er 0.951 0.565 0.387
Th1 Th 0.102 0.852 0.250
Th2 Th 0.898 0.148 0.750
```

Main lines, sorted by position (10° ≤ 2θ ≤ 90°):
d/Å	I/Imax
7.642	26
3.659	21
2.885	44
2.848	42
2.718	100
2.532	23
1.788	18
1.624	13
1.618	30
1.514	21

(2)
Tb6Er8Th: simulated PXRD pattern (CuKα), based on DFT lattice parameters and positions (PBE).

Structure:
```
data_Tb6Er8Th
_chemical_formula_sum 'Tb6 Er8 Th1'
_space_group_name_H-M_alt 'P 1'
_space_group_IT_number 1
_space_group_name_Hall 'P 1'
_cell_length_a 8.580
_cell_length_b 8.580
_cell_length_c 8.580
_cell_angle_alpha 63.14
_cell_angle_beta 63.14
_cell_angle_gamma 63.14
loop_
_atom_site_label
_atom_site_type_symbol
_atom_site_fract_x
_atom_site_fract_y
_atom_site_fract_z
Tb1 Tb 0.038 0.606 0.729
Tb2 Tb 0.271 0.962 0.394
Tb3 Tb 0.394 0.271 0.962
Tb4 Tb 0.606 0.729 0.038
Tb5 Tb 0.729 0.038 0.606
Tb6 Tb 0.962 0.394 0.271
Er1 Er 0.077 0.077 0.077
Er2 Er 0.219 0.612 0.250
Er3 Er 0.250 0.219 0.612
Er4 Er 0.388 0.750 0.781
Er5 Er 0.612 0.250 0.219
Er6 Er 0.750 0.781 0.388
Er7 Er 0.781 0.388 0.750
Er8 Er 0.923 0.923 0.923
Th1 Th 0.500 0.500 0.500
```

Main lines, sorted by position (10° ≤ 2θ ≤ 90°):
d/Å	I/Imax
2.911	18
2.825	100
2.741	30
2.720	7
2.551	12
2.425	15
1.910	6
1.711	11
1.648	9
1.524	11